Record 1
For LiB2PO6, DFT lattice parameters and positions (PBE) gives the simulated powder X-ray diffraction pattern in this record (Cu Kα (λ = 1.5418 Å)).
Neutral-atom scattering factors, no anomalous dispersion.

The 6 most intense peaks (10° ≤ 2θ ≤ 80°), by angle:
2θ/deg	I_rel
21.5	100
28.5	59
29.5	50
34.2	14
39.7	52
44.2	20

Cell and atoms:
```
LiB2PO6
1.0
4.5281 -4.8917 0.0000
4.5281 4.8917 0.0000
-1.9926 0.0000 4.1268
Li B P O
2 4 2 12
Direct
0.0980 0.9020 0.7500
0.9020 0.0980 0.2500
0.1554 0.2999 0.8440
0.2999 0.1554 0.3440
0.7001 0.8446 0.6560
0.8446 0.7001 0.1560
0.2883 0.7117 0.2500
0.7117 0.2883 0.7500
0.0836 0.6871 0.3422
0.1493 0.2181 0.1018
0.2181 0.1493 0.6018
0.2748 0.5202 0.9518
0.3129 0.9164 0.1578
0.4798 0.7252 0.5482
0.5202 0.2748 0.4518
0.6871 0.0836 0.8422
0.7252 0.4798 0.0482
0.7819 0.8507 0.3982
0.8507 0.7819 0.8982
0.9164 0.3129 0.6578
```



Record 2
For Li2SnBPO7, DFT lattice parameters and positions (PBE) gives the simulated powder X-ray diffraction pattern in this record (Cu Kα (λ = 1.5418 Å)).
Neutral-atom scattering factors, no anomalous dispersion.

The 6 most intense peaks (10° ≤ 2θ ≤ 80°), by angle:
2θ/deg	I_rel
16.6	100
19.1	44
20.0	52
22.0	42
24.9	55
27.5	60

Cell and atoms:
```
Li2SnBPO7
1.0
5.1704 0.0000 0.0000
0.0000 6.4954 0.0000
-0.5116 0.0000 9.4461
Li Sn B P O
4 2 2 2 14
Direct
0.2483 0.0246 0.1506
0.2483 0.4754 0.1506
0.7517 0.5246 0.8494
0.7517 0.9754 0.8494
0.2794 0.7500 0.6577
0.7206 0.2500 0.3423
0.2433 0.7500 0.9278
0.7567 0.2500 0.0722
0.2271 0.2500 0.5698
0.7729 0.7500 0.4302
0.0282 0.7500 0.8240
0.0714 0.7500 0.4658
0.2188 0.7500 0.0671
0.3047 0.0644 0.6639
0.3047 0.4356 0.6639
0.3585 0.2500 0.4271
0.4804 0.7500 0.8573
0.5196 0.2500 0.1427
0.6415 0.7500 0.5729
0.6953 0.5644 0.3361
0.6953 0.9356 0.3361
0.7812 0.2500 0.9329
0.9286 0.2500 0.5342
0.9718 0.2500 0.1760
```